MnPd3: simulated powder XRD pattern (Cu Kα X-rays), based on a cell relaxed with GGA-PBE.

Principal peaks in the range 2θ = 15–90°, by angle:
(hkl)	two_theta	intensity
0 0 4	22.6	2
1 0 1	23.3	4
1 0 3	28.4	3
1 1 0	32.2	2
1 0 5	36.6	1
1 1 4	39.7	100
2 0 0	46.2	48
2 2 0	67.4	30
3 1 4	81.1	35
2 2 8	85.6	10

Structural model:
```
MnPd3
1.0
3.933 0.000 0.000
0.000 3.933 0.000
0.000 0.000 15.718
Mn Pd
4 12
Cartesian
0.000 0.000 1.946
0.000 0.000 13.772
1.966 1.966 5.913
1.966 1.966 9.805
0.000 0.000 5.886
0.000 0.000 9.832
0.000 1.966 0.000
0.000 1.966 3.930
0.000 1.966 7.859
0.000 1.966 11.789
1.966 0.000 0.000
1.966 0.000 3.930
1.966 0.000 7.859
1.966 0.000 11.789
1.966 1.966 1.973
1.966 1.966 13.745
```

SmTlCdCu: simulated powder XRD pattern (Cu Kα X-rays), based on a cell relaxed with GGA-PBE.

Principal peaks in the range 2θ = 15–90°, by angle:
(hkl)	two_theta	intensity
1 1 1	21.6	15
2 2 0	35.6	100
3 1 1	42.0	8
4 0 0	51.2	18
3 3 1	56.2	4
4 2 2	63.9	36
5 1 1	68.3	3
4 4 0	75.4	11
5 3 1	79.5	3
6 2 0	86.2	16

Structural model:
```
SmTlCdCu
1.0
7.133 0.000 0.000
0.000 7.133 0.000
0.000 0.000 7.133
Sm Tl Cd Cu
4 4 4 4
Cartesian
0.000 0.000 0.000
0.000 3.567 3.567
3.567 0.000 3.567
3.567 3.567 0.000
1.783 1.783 1.783
1.783 5.350 5.350
5.350 1.783 5.350
5.350 5.350 1.783
0.000 0.000 3.567
0.000 3.567 0.000
3.567 0.000 0.000
3.567 3.567 3.567
1.783 1.783 5.350
1.783 5.350 1.783
5.350 1.783 1.783
5.350 5.350 5.350
```

- What is the formula in the second record?
  SmTlCdCu